1.
Sr2CaI6: simulated X-ray powder pattern (Cu Ka), based on a cell relaxed with GGA-PBE.
Kinematic intensities with the Lorentz-polarization factor, no thermal factor.

Main lines, in order of falling intensity (15° ≤ 2θ ≤ 90°):
| two_theta | I_rel | hkl |
| --- | --- | --- |
| 26.01 | 1000 | 0 2 3 |
| 26.86 | 812 | 1 1 3 |
| 29.97 | 788 | 1 3 0 |
| 26.25 | 769 | 2 2 -3 |
| 27.35 | 751 | 3 1 -3 |
| 30.25 | 616 | 2 0 -6 |
| 32.22 | 614 | 3 1 0 |
| 27.66 | 490 | 1 2 -4 |
| 29.42 | 468 | 1 3 -1 |
| 25.83 | 425 | 0 1 4 |

Cell: 10.4254 9.5211 17.7285 Å, 90.00 123.32 90.00°
Space group P2_1/c (No. 14)
Inequivalent atoms, fractional coordinates:
Sr 0.1376 0.0940 0.2874 x4
Sr 0.2036 0.7013 0.0936 x4
Ca 0.4266 0.1458 0.0698 x4
I 0.0721 0.1128 0.6349 x4
I 0.0819 0.0620 0.9235 x4
I 0.2239 0.7352 0.2949 x4
I 0.3269 0.0511 0.5141 x4
I 0.3921 0.0521 0.2235 x4
I 0.4766 0.1686 0.9114 x4

***

2.
Zr6Ga16Rh7: simulated X-ray powder pattern (Cu Ka), based on a cell relaxed with GGA-PBE.
Kinematic intensities with the Lorentz-polarization factor, no thermal factor.

Main lines, in order of falling intensity (15° ≤ 2θ ≤ 90°):
| two_theta | I_rel | hkl |
| --- | --- | --- |
| 41.06 | 1000 | 4 4 0 |
| 37.59 | 406 | 3 3 3 |
| 35.36 | 156 | 4 2 2 |
| 48.57 | 139 | 6 2 2 |
| 74.81 | 136 | 8 4 4 |
| 43.68 | 118 | 6 0 0 |
| 76.18 | 116 | 9 3 3 |
| 59.47 | 105 | 8 0 0 |
| 43.04 | 96 | 5 3 1 |
| 63.48 | 96 | 6 6 0 |

Cell: 12.4343 12.4343 12.4343 Å, 90.00 90.00 90.00°
Space group Fm-3m (No. 225)
Inequivalent atoms, fractional coordinates:
Zr 0.0000 0.0000 0.1952 x24
Ga 0.1219 0.1219 0.3781 x32
Ga 0.1573 0.1573 0.1573 x32
Rh 0.0000 0.0000 0.5000 x4
Rh 0.0000 0.2500 0.2500 x24

***

3.
Sm2In3Sn3: simulated X-ray powder pattern (Cu Ka), based on a cell relaxed with GGA-PBE.
Kinematic intensities with the Lorentz-polarization factor, no thermal factor.

Main lines, in order of falling intensity (15° ≤ 2θ ≤ 90°):
| two_theta | I_rel | hkl |
| --- | --- | --- |
| 32.86 | 1000 | 1 1 2 |
| 38.21 | 332 | 2 0 0 |
| 65.70 | 270 | 3 1 2 |
| 54.96 | 231 | 2 2 0 |
| 37.96 | 169 | 0 2 0 |
| 65.37 | 138 | 1 3 2 |
| 68.90 | 118 | 2 2 4 |
| 55.14 | 114 | 2 0 4 |
| 81.78 | 37 | 4 0 0 |
| 81.17 | 19 | 0 4 0 |

Cell: 4.7116 4.7401 9.4206 Å, 90.00 90.00 90.00°
Space group Pmmm (No. 47)
Inequivalent atoms, fractional coordinates:
Sm 0.0000 0.0000 0.2456 x2
In 0.0000 0.5000 0.5000 x1
In 0.5000 0.5000 0.2520 x2
Sn 0.0000 0.5000 0.0000 x1
Sn 0.5000 0.0000 0.0000 x1
Sn 0.5000 0.0000 0.5000 x1